(1)
For CsK6Rb3, a cell relaxed with PBE gives the computed PXRD pattern in this record (Cu Kα).
Intensities are scaled so that the largest is 100.

Most intense lines, 2θ from 15° to 90°, sorted by position:
d 4.783, rel. 34.0; d 4.498, rel. 39.9; d 4.217, rel. 20.9; d 3.895, rel. 44.2; d 3.708, rel. 29.6; d 3.611, rel. 100.0; d 3.586, rel. 21.8; d 2.513, rel. 30.7; d 2.387, rel. 32.8; d 2.249, rel. 26.4

```
CsK6Rb3
1.0
8.9957 0.0000 0.0000
-4.4978 7.7905 0.0000
0.0000 0.0000 12.1171
Cs K Rb
1 6 3
Cartesian
0.0000 0.0000 0.0000 Cs
-2.1918 3.7963 9.9201 K
-2.3060 3.9942 2.1970 K
4.3836 0.0000 9.9201 K
2.1918 3.7963 2.1970 K
4.6121 0.0000 2.1970 K
2.3060 3.9942 9.9201 K
0.0000 0.0000 6.0585 Rb
0.0000 5.1937 6.0585 Rb
4.4978 2.5968 6.0585 Rb
```



(2)
For Cs12K5Rb, a cell relaxed with PBE gives the computed PXRD pattern in this record (Cu Kα).
Intensities are scaled so that the largest is 100.

Most intense lines, 2θ from 15° to 90°, sorted by position:
d 4.662, rel. 18.7; d 4.478, rel. 100.0; d 4.295, rel. 44.9; d 4.115, rel. 28.6; d 4.047, rel. 36.9; d 4.007, rel. 30.1; d 3.908, rel. 34.4; d 2.577, rel. 18.2; d 2.506, rel. 26.1; d 2.447, rel. 20.2

```
Cs12K5Rb
1.0
-7.2985 7.8169 8.2398
7.2985 -7.8169 8.2398
7.2985 7.8169 -8.2398
Cs K Rb
12 5 1
Cartesian
7.2985 -4.3219 5.2648 Cs
4.4451 0.0000 4.0876 Cs
10.1519 0.0000 4.0876 Cs
4.5232 4.3585 0.0000 Cs
10.0737 4.3585 0.0000 Cs
0.0000 3.4950 2.9750 Cs
7.2985 4.3219 5.2648 Cs
-2.7753 3.4585 8.2398 Cs
2.7753 3.4585 8.2398 Cs
-2.8534 7.8169 4.1522 Cs
2.8534 7.8169 4.1522 Cs
0.0000 12.1388 2.9750 Cs
2.1689 0.0000 0.0000 K
7.2985 0.0000 0.0000 K
12.4280 0.0000 0.0000 K
0.0000 0.0000 6.0478 K
0.0000 0.0000 10.4318 K
0.0000 7.8169 0.0000 Rb
```



(3)
For CsK11Rb17, a cell relaxed with PBE gives the computed PXRD pattern in this record (Cu Kα).
Intensities are scaled so that the largest is 100.

Most intense lines, 2θ from 15° to 90°, sorted by position:
d 4.254, rel. 8.5; d 4.012, rel. 100.0; d 3.999, rel. 19.6; d 3.633, rel. 12.7; d 3.620, rel. 9.0; d 3.476, rel. 9.3; d 3.341, rel. 6.9; d 2.319, rel. 16.5; d 2.314, rel. 17.8; d 2.308, rel. 5.3

```
CsK11Rb17
1.0
8.5008 -12.0343 0.0000
8.5008 12.0343 0.0000
-8.4155 0.0000 12.0350
Cs K Rb
1 11 17
Cartesian
0.0000 0.0000 0.0000 Cs
-5.1106 2.2951 9.7025 K
-2.0745 4.4420 12.0069 K
0.0567 0.0000 4.5915 K
-5.1106 -2.2951 9.7025 K
3.2837 2.2562 6.6362 K
6.3686 4.4437 4.4347 K
-2.0745 -4.4420 12.0069 K
9.5125 2.2002 2.1918 K
3.2837 -2.2562 6.6362 K
9.5125 -2.2002 2.1918 K
6.3686 -4.4437 4.4347 K
1.7746 4.3536 2.2369 Rb
-1.2932 3.8094 7.0470 Rb
5.4915 8.6038 2.2222 Rb
2.4383 7.1611 6.0049 Rb
-0.6811 0.0000 9.9241 Rb
2.4728 4.8968 10.4243 Rb
-1.2932 -3.8094 7.0470 Rb
4.8387 0.0000 2.2209 Rb
1.7746 -4.3536 2.2369 Rb
7.1590 3.8942 9.2763 Rb
3.9445 0.0000 10.8288 Rb
2.4383 -7.1611 6.0049 Rb
7.8349 0.0000 6.4682 Rb
5.4915 -8.6038 2.2222 Rb
2.4728 -4.8968 10.4243 Rb
12.5265 0.0000 5.5024 Rb
7.1590 -3.8942 9.2763 Rb
```



(4)
For Cs2K16Rb, a cell relaxed with PBE gives the computed PXRD pattern in this record (Cu Kα).
Intensities are scaled so that the largest is 100.

Most intense lines, 2θ from 15° to 90°, sorted by position:
d 5.381, rel. 21.7; d 4.405, rel. 31.2; d 4.312, rel. 21.4; d 3.812, rel. 100.0; d 3.796, rel. 16.5; d 3.752, rel. 27.2; d 2.693, rel. 19.7; d 2.203, rel. 15.8; d 2.193, rel. 26.8; d 1.906, rel. 15.6

```
Cs2K16Rb
1.0
7.6301 4.4052 7.5910
-7.6301 4.4052 7.5910
0.0000 -8.8105 7.5910
Cs K Rb
2 16 1
Cartesian
0.0000 0.0000 0.0000 Cs
0.0000 0.0000 7.5389 Cs
0.0000 -4.3025 4.1257 K
-3.7261 2.1513 4.1257 K
-3.7567 -2.1689 11.3260 K
0.0000 -4.4698 10.9351 K
-3.8710 2.2349 10.9351 K
-2.2973 -3.9853 15.1159 K
-4.6000 0.0032 15.1159 K
3.7261 2.1513 4.1257 K
0.0000 0.0000 12.8861 K
3.7567 -2.1689 11.3260 K
0.0000 4.3379 11.3260 K
2.2973 -3.9853 15.1159 K
-2.3028 3.9822 15.1159 K
3.8710 2.2349 10.9351 K
4.6000 0.0032 15.1159 K
2.3028 3.9822 15.1159 K
0.0000 0.0000 17.3914 Rb
```



(5)
For CsK12Rb6, a cell relaxed with PBE gives the computed PXRD pattern in this record (Cu Kα).
Intensities are scaled so that the largest is 100.

Most intense lines, 2θ from 15° to 90°, sorted by position:
d 5.172, rel. 18.6; d 3.899, rel. 100.0; d 3.876, rel. 38.2; d 3.830, rel. 35.6; d 3.692, rel. 66.6; d 3.662, rel. 42.7; d 3.510, rel. 16.9; d 2.295, rel. 26.1; d 2.170, rel. 24.3; d 2.149, rel. 10.8

```
CsK12Rb6
1.0
8.2781 4.7793 6.6237
-8.2781 4.7793 6.6237
0.0000 -9.5587 6.6237
Cs K Rb
1 12 6
Cartesian
0.0000 0.0000 0.0000 Cs
-2.7305 0.5208 3.8850 K
0.9142 -2.6251 3.8850 K
-2.8631 -0.8691 8.1827 K
1.8163 2.1043 3.8851 K
-0.6789 -2.9141 11.6884 K
2.1842 -2.0450 8.1827 K
-2.1842 2.0450 11.6884 K
0.6789 2.9141 8.1827 K
-1.8163 -2.1043 15.9860 K
2.8631 0.8691 11.6884 K
-0.9142 2.6251 15.9860 K
2.7305 -0.5208 15.9860 K
-1.3474 -5.0504 7.4314 Rb
-5.0475 -1.3583 12.4397 Rb
-3.7001 3.6921 7.4314 Rb
3.7001 -3.6921 12.4397 Rb
5.0475 1.3583 7.4314 Rb
1.3474 5.0504 12.4397 Rb
```



(6)
For Cs3K3Rb10, a cell relaxed with PBE gives the computed PXRD pattern in this record (Cu Kα).
Intensities are scaled so that the largest is 100.

Most intense lines, 2θ from 15° to 90°, sorted by position:
d 4.552, rel. 14.3; d 4.509, rel. 36.2; d 4.040, rel. 100.0; d 3.976, rel. 21.9; d 3.798, rel. 54.7; d 2.746, rel. 13.2; d 2.518, rel. 28.7; d 2.276, rel. 13.8; d 2.226, rel. 14.6; d 2.113, rel. 26.6

```
Cs3K3Rb10
1.0
13.7748 0.0000 0.0000
-6.8874 11.9293 0.0000
0.0000 0.0000 9.1042
Cs K Rb
3 3 10
Cartesian
-2.8395 4.9182 0.0000 Cs
5.6790 0.0000 0.0000 Cs
4.0479 7.0111 0.0000 Cs
-4.1660 7.2157 4.5521 K
2.7214 4.7136 4.5521 K
8.3320 0.0000 4.5521 K
-1.5650 2.7107 4.5521 Rb
-5.3686 9.2986 0.0000 Rb
1.5188 2.6307 0.0000 Rb
3.1301 0.0000 4.5521 Rb
0.0000 7.9529 2.3763 Rb
0.0000 7.9529 6.7279 Rb
6.8874 3.9764 2.3763 Rb
6.8874 3.9764 6.7279 Rb
5.3224 9.2186 4.5521 Rb
10.7371 0.0000 0.0000 Rb
```



Copy entry 5 word for word.
For CsK12Rb6, a cell relaxed with PBE gives the computed PXRD pattern in this record (Cu Kα).
Intensities are scaled so that the largest is 100.

Most intense lines, 2θ from 15° to 90°, sorted by position:
d 5.172, rel. 18.6; d 3.899, rel. 100.0; d 3.876, rel. 38.2; d 3.830, rel. 35.6; d 3.692, rel. 66.6; d 3.662, rel. 42.7; d 3.510, rel. 16.9; d 2.295, rel. 26.1; d 2.170, rel. 24.3; d 2.149, rel. 10.8

```
CsK12Rb6
1.0
8.2781 4.7793 6.6237
-8.2781 4.7793 6.6237
0.0000 -9.5587 6.6237
Cs K Rb
1 12 6
Cartesian
0.0000 0.0000 0.0000 Cs
-2.7305 0.5208 3.8850 K
0.9142 -2.6251 3.8850 K
-2.8631 -0.8691 8.1827 K
1.8163 2.1043 3.8851 K
-0.6789 -2.9141 11.6884 K
2.1842 -2.0450 8.1827 K
-2.1842 2.0450 11.6884 K
0.6789 2.9141 8.1827 K
-1.8163 -2.1043 15.9860 K
2.8631 0.8691 11.6884 K
-0.9142 2.6251 15.9860 K
2.7305 -0.5208 15.9860 K
-1.3474 -5.0504 7.4314 Rb
-5.0475 -1.3583 12.4397 Rb
-3.7001 3.6921 7.4314 Rb
3.7001 -3.6921 12.4397 Rb
5.0475 1.3583 7.4314 Rb
1.3474 5.0504 12.4397 Rb
```